Structure and simulated powder diffractogram of CrSiH12O6F6 (a PBE+U-relaxed structure; λ = 1.5418 Å (Cu Kα)).

Principal peaks in the range 2θ from 15° to 90°, sorted by position:
| 2θ/deg | intensity | hkl |
| --- | --- | --- |
| 18.18 | 100 | 0 1 -2 |
| 18.75 | 43 | 1 -1 0 |
| 20.73 | 27 | 1 1 0 |
| 21.08 | 26 | 0 1 2 |
| 21.25 | 25 | 1 0 2 |
| 29.41 | 16 | 0 2 -2 |
| 33.00 | 24 | 1 2 -2 |
| 33.80 | 23 | -1 1 4 |
| 34.43 | 20 | 2 -1 2 |
| 47.72 | 10 | -2 2 4 |

```
data_CrSiH12O6F6
_space_group_name_H-M_alt 'P 1'
_space_group_IT_number 1
_cell_length_a 6.418
_cell_length_b 6.471
_cell_length_c 13.019
_cell_angle_alpha 97.63
_cell_angle_beta 98.08
_cell_angle_gamma 94.51
loop_
_space_group_symop_operation_xyz
'x,y,z'
loop_
_atom_site_label
_atom_site_fract_x
_atom_site_fract_y
_atom_site_fract_z
_atom_site_occupancy
Cr1 0.000 0.000 0.000 1
Cr2 0.001 0.002 0.501 1
Si1 0.497 0.503 0.250 1
Si2 0.504 0.498 0.751 1
H1 0.058 0.218 0.200 1
H2 0.066 0.216 0.699 1
H3 0.180 0.783 0.346 1
H4 0.188 0.781 0.846 1
H5 0.208 0.428 0.025 1
H6 0.213 0.428 0.526 1
H7 0.224 0.334 0.908 1
H8 0.225 0.336 0.407 1
H9 0.318 0.827 0.110 1
H10 0.321 0.822 0.611 1
H11 0.402 0.065 0.104 1
H12 0.407 0.058 0.603 1
H13 0.594 0.943 0.398 1
H14 0.598 0.936 0.896 1
H15 0.679 0.179 0.390 1
H16 0.682 0.174 0.890 1
H17 0.776 0.665 0.593 1
H18 0.777 0.667 0.093 1
H19 0.787 0.574 0.475 1
H20 0.792 0.573 0.976 1
H21 0.814 0.220 0.155 1
H22 0.820 0.220 0.655 1
H23 0.935 0.786 0.302 1
H24 0.943 0.783 0.800 1
O1 0.055 0.859 0.353 1
O2 0.061 0.856 0.852 1
O3 0.145 0.320 0.966 1
O4 0.149 0.321 0.467 1
O5 0.303 0.944 0.070 1
O6 0.305 0.939 0.570 1
O7 0.696 0.062 0.431 1
O8 0.698 0.057 0.931 1
O9 0.852 0.681 0.534 1
O10 0.854 0.681 0.034 1
O11 0.940 0.145 0.148 1
O12 0.946 0.143 0.649 1
F1 0.303 0.330 0.278 1
F2 0.309 0.326 0.779 1
F3 0.317 0.583 0.156 1
F4 0.325 0.579 0.657 1
F5 0.434 0.696 0.342 1
F6 0.441 0.690 0.844 1
F7 0.559 0.311 0.157 1
F8 0.567 0.306 0.658 1
F9 0.676 0.423 0.344 1
F10 0.683 0.419 0.845 1
F11 0.692 0.676 0.222 1
F12 0.698 0.671 0.722 1
```